1.
Structure and computed X-ray powder pattern of Pa4Al16Pt3 (DFT lattice parameters and positions (PBE); λ = 1.5418 Å (Cu Kα)).
Kinematic intensities with the Lorentz-polarization factor, no thermal factor.

Principal peaks in the range 2θ from 5° to 70°, sorted by position:
2theta, I (rel.)
20.3, 75
23.7, 19
28.9, 55
31.4, 100
37.7, 61
41.3, 47
46.4, 19
52.8, 47
57.5, 13
59.8, 16

Cell and atoms:
a b c (Å): 6.1836 6.1836 11.2553
angles (deg): 90.00 90.00 90.00
Atoms (fractional coordinates):
Pa 0.0000 0.5000 0.1867
Pa 0.0000 0.5000 0.8133
Pa 0.5000 0.0000 0.1867
Pa 0.5000 0.0000 0.8133
Al 0.0000 0.0000 0.1987
Al 0.0000 0.0000 0.8013
Al 0.2134 0.2134 0.0000
Al 0.2134 0.7866 0.0000
Al 0.2442 0.2442 0.3764
Al 0.2442 0.2442 0.6236
Al 0.2442 0.7558 0.3764
Al 0.2442 0.7558 0.6236
Al 0.5000 0.5000 0.2273
Al 0.5000 0.5000 0.7727
Al 0.7558 0.2442 0.3764
Al 0.7558 0.2442 0.6236
Al 0.7558 0.7558 0.3764
Al 0.7558 0.7558 0.6236
Al 0.7866 0.2134 0.0000
Al 0.7866 0.7866 0.0000
Pt 0.0000 0.5000 0.5000
Pt 0.5000 0.0000 0.5000
Pt 0.5000 0.5000 0.0000

2.
Structure and computed X-ray powder pattern of PuPa2Al6 (DFT lattice parameters and positions (PBE); λ = 1.5418 Å (Cu Kα)).
Kinematic intensities with the Lorentz-polarization factor, no thermal factor.

Principal peaks in the range 2θ from 5° to 70°, sorted by position:
2theta, I (rel.)
22.1, 100
27.5, 15
35.6, 100
38.7, 48
45.0, 16
48.2, 20
53.6, 32
60.9, 14
61.7, 13
68.1, 31

Cell and atoms:
a b c (Å): 8.0521 8.0521 3.2416
angles (deg): 90.00 90.00 120.00
Atoms (fractional coordinates):
Pu 0.0000 0.0000 0.0000
Pa 0.3333 0.6667 0.0000
Pa 0.6667 0.3333 0.0000
Al 0.0000 0.3336 0.5000
Al 0.0000 0.6664 0.5000
Al 0.3336 0.0000 0.5000
Al 0.3336 0.3336 0.5000
Al 0.6664 0.0000 0.5000
Al 0.6664 0.6664 0.5000

3.
Structure and computed X-ray powder pattern of PuPa4Al (DFT lattice parameters and positions (PBE); λ = 1.5418 Å (Cu Kα)).
Kinematic intensities with the Lorentz-polarization factor, no thermal factor.

Principal peaks in the range 2θ from 5° to 70°, sorted by position:
2theta, I (rel.)
32.6, 17
33.7, 26
33.9, 52
36.7, 52
36.9, 100
41.7, 15
57.9, 22
62.6, 23
68.9, 30
69.2, 13

Cell and atoms:
a b c (Å): 5.4953 5.4953 11.0278
angles (deg): 104.35 104.35 60.35
Atoms (fractional coordinates):
Pu 0.0000 0.5000 0.0000
Pu 0.5000 0.0000 0.5000
Pa 0.1606 0.6779 0.5003
Pa 0.2524 0.4151 0.7506
Pa 0.3221 0.8394 0.9997
Pa 0.4151 0.2524 0.2506
Pa 0.5849 0.7476 0.7494
Pa 0.6779 0.1606 0.0003
Pa 0.7476 0.5849 0.2494
Pa 0.8394 0.3221 0.4997
Al 0.0824 0.9176 0.2500
Al 0.9176 0.0824 0.7500

4.
Structure and computed X-ray powder pattern of Rb2PaAlTe5 (DFT lattice parameters and positions (PBE); λ = 1.5418 Å (Cu Kα)).
Kinematic intensities with the Lorentz-polarization factor, no thermal factor.

Principal peaks in the range 2θ from 5° to 70°, sorted by position:
2theta, I (rel.)
8.1, 29
9.9, 24
11.4, 19
14.0, 33
25.2, 38
26.7, 100
30.9, 20
35.4, 16
40.4, 28
42.4, 29

Cell and atoms:
a b c (Å): 11.1161 11.1161 15.5598
angles (deg): 90.00 90.00 156.83
Atoms (fractional coordinates):
Rb 0.1162 0.8838 0.5000
Rb 0.1243 0.8757 0.8563
Rb 0.8757 0.1243 0.3563
Rb 0.8838 0.1162 0.0000
Pa 0.2020 0.7980 0.1965
Pa 0.7980 0.2020 0.6965
Al 0.4289 0.5711 0.5906
Al 0.5711 0.4289 0.0906
Te 0.0583 0.9417 0.1948
Te 0.3037 0.6963 0.8262
Te 0.3062 0.6938 0.5581
Te 0.3320 0.6680 0.1769
Te 0.4891 0.5109 0.4523
Te 0.5109 0.4891 0.9523
Te 0.6680 0.3320 0.6769
Te 0.6938 0.3062 0.0581
Te 0.6963 0.3037 0.3262
Te 0.9417 0.0583 0.6948

5.
Structure and computed X-ray powder pattern of PaAl11Ru (DFT lattice parameters and positions (PBE); λ = 1.5418 Å (Cu Kα)).
Kinematic intensities with the Lorentz-polarization factor, no thermal factor.

Principal peaks in the range 2θ from 5° to 70°, sorted by position:
2theta, I (rel.)
14.1, 100
19.7, 93
27.2, 55
28.2, 47
34.0, 53
38.9, 44
39.4, 62
39.7, 50
40.1, 46
40.4, 55

Cell and atoms:
a b c (Å): 6.8160 6.8160 7.1032
angles (deg): 97.75 97.75 135.15
Atoms (fractional coordinates):
Pa 0.0000 0.0000 0.0000
Al 0.0000 0.0000 0.5000
Al 0.0000 0.5000 0.0000
Al 0.0155 0.3625 0.3574
Al 0.2865 0.4994 0.7792
Al 0.3625 0.0155 0.3574
Al 0.4994 0.2865 0.7792
Al 0.5000 0.0000 0.0000
Al 0.5006 0.7135 0.2208
Al 0.6375 0.9845 0.6426
Al 0.7135 0.5006 0.2208
Al 0.9845 0.6375 0.6426
Ru 0.5000 0.5000 0.5000

6.
Structure and computed X-ray powder pattern of PaAl3Ru4 (DFT lattice parameters and positions (PBE); λ = 1.5418 Å (Cu Kα)).
Kinematic intensities with the Lorentz-polarization factor, no thermal factor.

Principal peaks in the range 2θ from 5° to 70°, sorted by position:
2theta, I (rel.)
12.3, 33
23.5, 30
24.6, 32
31.2, 21
37.5, 12
40.6, 100
41.0, 95
42.6, 11
48.5, 9
59.1, 32

Cell and atoms:
a b c (Å): 7.6129 7.6129 7.6129
angles (deg): 33.90 33.90 33.90
Atoms (fractional coordinates):
Pa 0.0000 0.0000 0.0000
Al 0.2430 0.2430 0.2430
Al 0.5000 0.5000 0.5000
Al 0.7570 0.7570 0.7570
Ru 0.1250 0.1250 0.1250
Ru 0.3805 0.3805 0.3805
Ru 0.6195 0.6195 0.6195
Ru 0.8750 0.8750 0.8750